# 1
Diffraction record for MgScGa4Pd2. The powder XRD pattern is theoretical, not measured: it uses a structure optimized by DFT (PBE) and a wavelength of 1.5418 Å.
Peak positions follow from Bragg's law for the DFT cell and can differ from measured ones.

Most intense lines, 10° ≤ 2θ ≤ 80°, in order of rising 2θ:
two_theta	I/Imax
16.55	567
25.11	849
34.78	548
37.79	995
41.39	597
42.39	1000
48.44	770
66.14	374

Cell and atoms:
abc: 3.758 3.758 10.715
angles: 90.00 90.00 90.00
Positions (direct):
Mg  0.000  0.000  0.000
Sc  0.000  0.000  0.500
Ga  0.000  0.500  0.293
Ga  0.000  0.500  0.707
Ga  0.500  0.000  0.293
Ga  0.500  0.000  0.707
Pd  0.500  0.500  0.124
Pd  0.500  0.500  0.876



# 2
Diffraction record for Sr2MgGa4Pd3. The powder XRD pattern is theoretical, not measured: it uses a structure optimized by DFT (PBE) and a wavelength of 1.5418 Å.
Peak positions follow from Bragg's law for the DFT cell and can differ from measured ones.

Most intense lines, 10° ≤ 2θ ≤ 80°, in order of rising 2θ:
two_theta	I/Imax
31.45	753
33.33	1000
41.85	730
43.55	398
45.14	393
53.27	338
60.67	237
63.23	282

Cell and atoms:
abc: 4.318 4.318 11.346
angles: 90.00 90.00 90.00
Positions (direct):
Sr  0.000  0.500  0.241
Sr  0.500  0.000  0.759
Mg  0.000  0.000  0.500
Ga  0.000  0.000  0.000
Ga  0.000  0.500  0.645
Ga  0.500  0.000  0.355
Ga  0.500  0.500  0.000
Pd  0.000  0.500  0.875
Pd  0.500  0.000  0.125
Pd  0.500  0.500  0.500



# 3
Diffraction record for TbMg2GaPd4. The powder XRD pattern is theoretical, not measured: it uses a structure optimized by DFT (PBE) and a wavelength of 1.5418 Å.
Peak positions follow from Bragg's law for the DFT cell and can differ from measured ones.

Most intense lines, 10° ≤ 2θ ≤ 80°, in order of rising 2θ:
two_theta	I/Imax
23.70	306
35.61	110
38.85	887
39.25	1000
45.84	114
56.41	294
70.87	292
71.14	167

Cell and atoms:
abc: 8.056 8.056 8.056
angles: 33.11 33.11 33.11
Positions (direct):
Tb  0.000  0.000  0.000
Mg  0.246  0.246  0.246
Mg  0.754  0.754  0.754
Ga  0.500  0.500  0.500
Pd  0.129  0.129  0.129
Pd  0.388  0.388  0.388
Pd  0.612  0.612  0.612
Pd  0.871  0.871  0.871



# 4
Diffraction record for ThMgGa5Pd2. The powder XRD pattern is theoretical, not measured: it uses a structure optimized by DFT (PBE) and a wavelength of 1.5418 Å.
Peak positions follow from Bragg's law for the DFT cell and can differ from measured ones.

Most intense lines, 10° ≤ 2θ ≤ 80°, in order of rising 2θ:
two_theta	I/Imax
24.54	386
26.46	954
30.59	1000
33.83	290
42.12	689
44.74	582
50.43	329
51.69	437

Cell and atoms:
abc: 4.290 4.290 10.882
angles: 90.00 90.00 90.00
Positions (direct):
Th  0.000  0.000  0.000
Mg  0.000  0.000  0.500
Ga  0.000  0.500  0.330
Ga  0.000  0.500  0.670
Ga  0.500  0.000  0.330
Ga  0.500  0.000  0.670
Ga  0.500  0.500  0.000
Pd  0.500  0.500  0.216
Pd  0.500  0.500  0.784



# 5
Diffraction record for PmMg2Ga4. The powder XRD pattern is theoretical, not measured: it uses a structure optimized by DFT (PBE) and a wavelength of 1.5418 Å.
Peak positions follow from Bragg's law for the DFT cell and can differ from measured ones.

Most intense lines, 10° ≤ 2θ ≤ 80°, in order of rising 2θ:
two_theta	I/Imax
10.42	687
26.34	346
31.95	1000
33.88	293
36.96	315
42.86	254
43.13	394
62.43	256

Cell and atoms:
abc: 8.996 8.996 8.996
angles: 153.18 152.87 38.51
Positions (direct):
Pm  0.000  0.000  0.000
Mg  0.185  0.685  0.500
Mg  0.815  0.315  0.500
Ga  0.346  0.846  0.500
Ga  0.427  0.427  0.000
Ga  0.573  0.573  0.000
Ga  0.654  0.154  0.500



# 6
Diffraction record for Pm4Mg5Ga2. The powder XRD pattern is theoretical, not measured: it uses a structure optimized by DFT (PBE) and a wavelength of 1.5418 Å.
Peak positions follow from Bragg's law for the DFT cell and can differ from measured ones.

Most intense lines, 10° ≤ 2θ ≤ 80°, in order of rising 2θ:
two_theta	I/Imax
11.02	1000
20.11	603
24.45	607
31.89	962
32.76	767
33.25	821
36.37	575
37.08	691

Cell and atoms:
abc: 8.046 3.636 10.125
angles: 90.00 93.98 90.00
Positions (direct):
Pm  0.157  0.000  0.367
Pm  0.255  0.000  0.945
Pm  0.745  0.000  0.055
Pm  0.843  0.000  0.633
Mg  0.191  0.500  0.661
Mg  0.435  0.500  0.199
Mg  0.500  0.500  0.500
Mg  0.565  0.500  0.801
Mg  0.809  0.500  0.339
Ga  0.056  0.500  0.129
Ga  0.944  0.500  0.871



# 7
Diffraction record for PmMgGa2. The powder XRD pattern is theoretical, not measured: it uses a structure optimized by DFT (PBE) and a wavelength of 1.5418 Å.
Peak positions follow from Bragg's law for the DFT cell and can differ from measured ones.

Most intense lines, 10° ≤ 2θ ≤ 80°, in order of rising 2θ:
two_theta	I/Imax
28.57	382
30.93	269
32.51	1000
33.50	639
41.48	367
42.08	264
44.90	328
45.49	260

Cell and atoms:
abc: 14.218 4.354 11.566
angles: 90.00 90.00 90.00
Positions (direct):
Pm  0.055  0.250  0.238
Pm  0.198  0.750  0.956
Pm  0.302  0.250  0.456
Pm  0.445  0.750  0.738
Pm  0.555  0.250  0.262
Pm  0.698  0.750  0.544
Pm  0.802  0.250  0.044
Pm  0.945  0.750  0.762
Mg  0.062  0.250  0.549
Mg  0.195  0.750  0.657
Mg  0.305  0.250  0.157
Mg  0.438  0.750  0.049
Mg  0.562  0.250  0.951
Mg  0.695  0.750  0.843
Mg  0.805  0.250  0.343
Mg  0.938  0.750  0.451
Ga  0.036  0.250  0.970
Ga  0.112  0.250  0.777
Ga  0.135  0.750  0.431
Ga  0.210  0.750  0.237
Ga  0.290  0.250  0.737
Ga  0.365  0.250  0.931
Ga  0.388  0.750  0.277
Ga  0.464  0.750  0.470
Ga  0.536  0.250  0.530
Ga  0.612  0.250  0.723
Ga  0.635  0.750  0.069
Ga  0.710  0.750  0.263
Ga  0.790  0.250  0.763
Ga  0.865  0.250  0.569
Ga  0.888  0.750  0.223
Ga  0.964  0.750  0.030



# 8
Diffraction record for Pm4MgGa3. The powder XRD pattern is theoretical, not measured: it uses a structure optimized by DFT (PBE) and a wavelength of 1.5418 Å.
Peak positions follow from Bragg's law for the DFT cell and can differ from measured ones.

Most intense lines, 10° ≤ 2θ ≤ 80°, in order of rising 2θ:
two_theta	I/Imax
23.84	103
24.05	205
34.12	1000
34.27	497
49.25	177
60.99	181
61.28	363
71.86	110

Cell and atoms:
abc: 10.466 7.464 5.232
angles: 90.00 90.00 90.00
Positions (direct):
Pm  0.000  0.243  0.000
Pm  0.000  0.757  0.000
Pm  0.250  0.243  0.498
Pm  0.250  0.757  0.498
Pm  0.500  0.243  0.000
Pm  0.500  0.757  0.000
Pm  0.750  0.243  0.502
Pm  0.750  0.757  0.502
Mg  0.000  0.500  0.500
Mg  0.500  0.500  0.500
Ga  0.000  0.000  0.500
Ga  0.250  0.000  0.997
Ga  0.250  0.500  0.997
Ga  0.500  0.000  0.500
Ga  0.750  0.000  0.003
Ga  0.750  0.500  0.003



# 9
Diffraction record for Pm3Mg2Ga9. The powder XRD pattern is theoretical, not measured: it uses a structure optimized by DFT (PBE) and a wavelength of 1.5418 Å.
Peak positions follow from Bragg's law for the DFT cell and can differ from measured ones.

Most intense lines, 10° ≤ 2θ ≤ 80°, in order of rising 2θ:
two_theta	I/Imax
29.15	266
32.35	172
33.42	195
33.83	387
34.20	1000
41.00	231
42.39	297
54.18	145

Cell and atoms:
abc: 8.596 8.596 8.596
angles: 151.27 107.68 79.59
Positions (direct):
Pm  0.000  0.000  0.000
Pm  0.312  0.312  0.000
Pm  0.688  0.688  0.000
Mg  0.290  0.500  0.790
Mg  0.710  0.500  0.210
Ga  0.037  0.664  0.373
Ga  0.130  0.855  0.275
Ga  0.292  0.664  0.627
Ga  0.419  0.145  0.275
Ga  0.500  0.000  0.500
Ga  0.581  0.855  0.725
Ga  0.708  0.336  0.373
Ga  0.870  0.145  0.725
Ga  0.963  0.336  0.627



# 10
Diffraction record for Pm3Mg3Ga8. The powder XRD pattern is theoretical, not measured: it uses a structure optimized by DFT (PBE) and a wavelength of 1.5418 Å.
Peak positions follow from Bragg's law for the DFT cell and can differ from measured ones.

Most intense lines, 10° ≤ 2θ ≤ 80°, in order of rising 2θ:
two_theta	I/Imax
28.54	253
31.97	272
33.65	258
33.92	1000
34.23	602
34.79	283
41.78	361
53.52	273

Cell and atoms:
abc: 8.675 8.675 8.675
angles: 151.14 110.58 76.87
Positions (direct):
Pm  0.000  0.000  0.000
Pm  0.301  0.301  0.000
Pm  0.699  0.699  0.000
Mg  0.288  0.500  0.788
Mg  0.500  0.000  0.500
Mg  0.712  0.500  0.212
Ga  0.032  0.663  0.370
Ga  0.136  0.857  0.278
Ga  0.293  0.663  0.630
Ga  0.421  0.143  0.278
Ga  0.579  0.857  0.722
Ga  0.707  0.337  0.370
Ga  0.864  0.143  0.722
Ga  0.968  0.337  0.630



# 11
Diffraction record for Pm5MgGa2. The powder XRD pattern is theoretical, not measured: it uses a structure optimized by DFT (PBE) and a wavelength of 1.5418 Å.
Peak positions follow from Bragg's law for the DFT cell and can differ from measured ones.

Most intense lines, 10° ≤ 2θ ≤ 80°, in order of rising 2θ:
two_theta	I/Imax
26.14	189
30.93	1000
32.61	394
34.87	149
36.35	368
51.37	163
55.25	168
64.88	156

Cell and atoms:
abc: 9.494 9.494 9.494
angles: 131.39 131.39 71.20
Positions (direct):
Pm  0.000  0.000  0.000
Pm  0.027  0.527  0.840
Pm  0.188  0.027  0.500
Pm  0.312  0.812  0.840
Pm  0.473  0.312  0.500
Pm  0.500  0.500  0.000
Pm  0.527  0.688  0.500
Pm  0.688  0.188  0.160
Pm  0.812  0.973  0.500
Pm  0.973  0.473  0.160
Mg  0.250  0.250  0.000
Mg  0.750  0.750  0.000
Ga  0.119  0.381  0.500
Ga  0.381  0.881  0.262
Ga  0.619  0.119  0.738
Ga  0.881  0.619  0.500



# 12
Diffraction record for PmMgGaPt2. The powder XRD pattern is theoretical, not measured: it uses a structure optimized by DFT (PBE) and a wavelength of 1.5418 Å.
Peak positions follow from Bragg's law for the DFT cell and can differ from measured ones.

Most intense lines, 10° ≤ 2θ ≤ 80°, in order of rising 2θ:
two_theta	I/Imax
23.22	424
31.11	1000
31.38	786
34.68	650
43.07	942
44.96	630
55.69	391
64.02	587

Cell and atoms:
abc: 6.780 6.780 6.780
angles: 145.40 145.40 49.74
Positions (direct):
Pm  0.000  0.000  0.000
Mg  0.750  0.250  0.500
Ga  0.250  0.750  0.500
Pt  0.389  0.389  0.000
Pt  0.611  0.611  0.000